[1]
Structure and theoretical powder XRD pattern of SrLi6Sn4 (a cell relaxed with GGA-PBE; a wavelength of 1.5418 Å).
Kinematic intensities with the Lorentz-polarization factor, no thermal factor.

Structural model:
a b c (Å): 7.7967 7.7967 4.7002
angles (deg): 90.00 90.00 120.00
Space group P-6m2 (No. 187)
Asymmetric unit:
Sr  0.0000  0.0000  0.0000
Li  0.2155  0.4310  0.5000
Li  0.5349  0.0698  0.0000
Sn  0.3333  0.6667  0.0000
Sn  0.4093  0.2046  0.5000

Main lines, low angle first (2θ = 15–90°):
(1 0 1), 2θ 23.1, d = 3.858 Å, intensity 100; (2 0 0), 2θ 26.4, d = 3.376 Å, intensity 65; (1 1 1), 2θ 29.8, d = 3.001 Å, intensity 55; (2 0 1), 2θ 32.7, d = 2.742 Å, intensity 33; (2 1 0), 2θ 35.2, d = 2.552 Å, intensity 35; (0 0 2), 2θ 38.3, d = 2.350 Å, intensity 24; (2 1 1), 2θ 40.2, d = 2.243 Å, intensity 32; (3 0 1), 2θ 44.6, d = 2.030 Å, intensity 55; (2 0 2), 2θ 47.1, d = 1.929 Å, intensity 28; (2 1 2), 2θ 53.0, d = 1.729 Å, intensity 22; (3 2 1), 2θ 63.2, d = 1.471 Å, intensity 28; (3 3 0), 2θ 72.8, d = 1.299 Å, intensity 16

=====

[2]
Structure and theoretical powder XRD pattern of LiB4W (a cell relaxed with GGA-PBE; a wavelength of 1.5418 Å).
Kinematic intensities with the Lorentz-polarization factor, no thermal factor.

Structural model:
a b c (Å): 3.007 3.166 5.311
angles (deg): 90.00 90.00 90.00
Space group Pmmm (No. 47)
Asymmetric unit:
Li  0.000  0.000  0.000
B  0.000  0.500  0.328
B  0.500  0.500  0.163
W  0.500  0.000  0.500

Main lines, low angle first (2θ = 15–90°):
(0 0 1), 2θ 16.7, d = 5.311 Å, intensity 100; (0 1 0), 2θ 28.2, d = 3.166 Å, intensity 21; (1 0 0), 2θ 29.7, d = 3.007 Å, intensity 26; (0 1 1), 2θ 32.9, d = 2.719 Å, intensity 40; (0 0 2), 2θ 33.8, d = 2.656 Å, intensity 17; (1 0 1), 2θ 34.3, d = 2.617 Å, intensity 33; (1 1 0), 2θ 41.4, d = 2.180 Å, intensity 21; (0 1 2), 2θ 44.5, d = 2.035 Å, intensity 22; (1 1 1), 2θ 44.9, d = 2.017 Å, intensity 44; (1 0 2), 2θ 45.6, d = 1.991 Å, intensity 16; (1 1 2), 2θ 54.4, d = 1.685 Å, intensity 19; (1 0 3), 2θ 60.7, d = 1.526 Å, intensity 10

=====

[3]
Structure and theoretical powder XRD pattern of Y2HfAl (a cell relaxed with GGA-PBE; a wavelength of 1.5418 Å).
Kinematic intensities with the Lorentz-polarization factor, no thermal factor.

Structural model:
a b c (Å): 3.404 3.404 8.717
angles (deg): 90.00 90.00 90.00
Space group P4/mmm (No. 123)
Asymmetric unit:
Y  0.000  0.000  0.233
Hf  0.500  0.500  0.500
Al  0.500  0.500  0.000

Main lines, low angle first (2θ = 15–90°):
(1 0 1), 2θ 28.1, d = 3.171 Å, intensity 30; (0 0 3), 2θ 30.8, d = 2.906 Å, intensity 9; (1 0 2), 2θ 33.4, d = 2.683 Å, intensity 100; (1 1 0), 2θ 37.4, d = 2.407 Å, intensity 38; (1 1 1), 2θ 38.8, d = 2.320 Å, intensity 8; (0 0 4), 2θ 41.4, d = 2.179 Å, intensity 13; (1 1 3), 2θ 49.2, d = 1.854 Å, intensity 10; (2 0 0), 2θ 53.9, d = 1.702 Å, intensity 13; (1 1 4), 2θ 57.0, d = 1.616 Å, intensity 20; (2 1 2), 2θ 64.9, d = 1.437 Å, intensity 29; (2 0 4), 2θ 70.2, d = 1.341 Å, intensity 11; (1 0 6), 2θ 70.5, d = 1.336 Å, intensity 9